Simulated powder diffractogram
Compound: NaSr5O6
Radiation: CuKα
Structure: a structure optimized by DFT (GGA-PBE)

Peak list (6 most intense, 2θ = 10–90°, in order of rising 2θ)
d (Å), I_rel, hkl
2.989, 619, 2 0 0
2.984, 202, 0 0 2
2.587, 1000, 2 0 -2
1.831, 445, 2 0 2
1.827, 222, 1 3 -3
1.561, 290, 3 3 1

Crystal structure
Unit cell a=6.339 b=10.987 c=6.325 alpha=90.00 beta=109.36 gamma=90.00
Space group C2/m (No. 12)
Asymmetric unit:
Na  0.000  0.000  0.000
Sr  0.000  0.163  0.500
Sr  0.000  0.333  0.000
Sr  0.000  0.500  0.500
O  0.242  0.328  0.743
O  0.242  0.500  0.254